ZrSc: theoretical PXRD pattern (Cu Kα X-rays), based on DFT lattice parameters and positions (PBE).

Main lines, most intense first (5 to 70 degrees two-theta):
(hkl), Position (°2θ), I (rel.)
1 0 2, 36.47, 100.0
2 0 0, 35.09, 24.8
3 0 2, 63.85, 17.9
0 3 1, 31.79, 17.0
2 3 1, 48.09, 15.2
2 3 3, 68.52, 12.6
0 3 3, 56.77, 11.5
1 6 2, 69.24, 9.2
0 0 2, 31.90, 8.3
0 1 0, 9.06, 7.3

Atomic structure:
```
data_ZrSc
_space_group_name_H-M_alt 'P m c 21'
_space_group_IT_number 26
_cell_length_a 5.115
_cell_length_b 9.762
_cell_length_c 5.611
_cell_angle_alpha 90.00
_cell_angle_beta 90.00
_cell_angle_gamma 90.00
loop_
_space_group_symop_operation_xyz
'x,y,z'
'-x,-y,z+1/2'
'-x,y,z'
'x,-y,z+1/2'
loop_
_atom_site_label
_atom_site_type_symbol
_atom_site_fract_x
_atom_site_fract_y
_atom_site_fract_z
_atom_site_occupancy
Zr1 Zr 0.000 0.083 0.000 1
Zr2 Zr 0.000 0.245 0.502 1
Zr3 Zr 0.500 0.247 0.831 1
Sc1 Sc 0.000 0.412 0.994 1
Sc2 Sc 0.500 0.084 0.329 1
Sc3 Sc 0.500 0.415 0.337 1
```

ZrSc: theoretical PXRD pattern (Cu Kα X-rays), based on DFT lattice parameters and positions (PBE).

Main lines, most intense first (5 to 70 degrees two-theta):
(hkl), Position (°2θ), I (rel.)
2 1 1, 36.32, 100.0
0 2 1, 36.62, 49.5
0 0 2, 35.07, 37.2
1 0 0, 13.52, 27.1
2 1 0, 31.66, 24.9
2 3 2, 68.57, 19.2
2 1 3, 63.73, 17.7
2 3 0, 56.83, 17.0
2 1 2, 47.97, 14.8
4 2 1, 68.95, 13.8

Atomic structure:
```
data_ZrSc
_space_group_name_H-M_alt 'P b c m'
_space_group_IT_number 57
_cell_length_a 6.549
_cell_length_b 5.592
_cell_length_c 5.117
_cell_angle_alpha 90.00
_cell_angle_beta 90.00
_cell_angle_gamma 90.00
loop_
_space_group_symop_operation_xyz
'x,y,z'
'-x,-y,-z'
'-x,-y,z+1/2'
'x,y,-z+1/2'
'x,-y+1/2,-z'
'-x,y+1/2,z'
'-x,y+1/2,-z+1/2'
'x,-y+1/2,z+1/2'
loop_
_atom_site_label
_atom_site_type_symbol
_atom_site_fract_x
_atom_site_fract_y
_atom_site_fract_z
_atom_site_occupancy
Zr1 Zr 0.119 0.087 0.250 1
Sc1 Sc 0.370 0.577 0.250 1
```